For Ho2Zn3Pt, a cell relaxed with GGA-PBE gives the calculated PXRD pattern in this record (a wavelength of 1.5418 Å).
Lines closer than 0.1° are merged.

Largest 8 diffraction maxima, by intensity, 2θ = 5–70°:
(hkl), two_theta, I (rel.)
1 1 1, 34.42, 1000
0 2 0, 40.79, 560
1 2 2, 54.41, 252
2 2 0, 67.64, 247
0 0 1, 11.55, 176
0 1 1, 23.21, 116
2 0 0, 51.44, 100
1 1 2, 40.17, 73

Cell and atoms:
a = 3.5528 Å, b = 4.4267 Å, c = 7.6601 Å
α = 90.00°, β = 90.00°, γ = 90.00°
Sites, in units of the cell vectors:
Ho (0.0000, 0.0000, 0.0000)
Ho (0.0000, 0.5000, 0.4554)
Zn (0.5000, 0.0000, 0.6522)
Zn (0.5000, 0.5000, 0.1321)
Zn (0.5000, 0.5000, 0.8052)
Pt (0.5000, 0.0000, 0.3117)